For BaFeCuF7, a DFT-relaxed cell (GGA+U, Alexandria) gives the simulated X-ray diffraction stick pattern in this record (Cu Kα, 1.54184 Å).

Atomic structure:
a = 7.447 Å, b = 7.447 Å, c = 5.691 Å
α = 110.73°, β = 110.73°, γ = 86.31°
Fractional positions:
1 Ba 0.000 0.000 0.000
2 Ba 0.636 0.364 0.500
3 Fe 0.240 0.376 0.854
4 Fe 0.624 0.760 0.146
5 Cu 0.038 0.595 0.374
6 Cu 0.405 0.962 0.626
7 F 0.139 0.599 0.757
8 F 0.142 0.858 0.500
9 F 0.266 0.490 0.228
10 F 0.276 0.236 0.515
11 F 0.350 0.147 0.960
12 F 0.401 0.861 0.243
13 F 0.510 0.734 0.772
14 F 0.517 0.483 0.000
15 F 0.643 0.093 0.736
16 F 0.739 0.009 0.241
17 F 0.764 0.724 0.485
18 F 0.853 0.650 0.040
19 F 0.907 0.357 0.264
20 F 0.991 0.261 0.759

Principal peaks in the range 10 to 90 degrees two-theta, low angle first:
2theta, I (rel.)
25.02, 100
25.47, 84
26.46, 85
29.54, 40
30.67, 32
31.47, 37
40.11, 56
40.34, 32
51.98, 36
54.66, 29